1.
Pa2S2O: theoretical powder diffractogram (a wavelength of 1.5418 Å), based on a crystal structure in Alexandria, relaxed with GGA-PBE.

Peak list (12 most intense, 15 to 90 degrees two-theta, most intense first)
2θ/deg  I (rel.)  index
18.36  100  0 1 1
35.44  94  1 0 3
49.42  73  1 2 3
30.45  70  1 1 0
29.48  70  0 1 3
33.31  60  0 2 0
26.70  58  1 0 1
45.18  38  1 1 4
61.14  36  0 2 6
43.19  32  1 2 1
32.56  32  0 0 4
16.12  31  0 0 2

Atomic structure:
a b c (Å): 3.504 5.380 10.999
angles (deg): 90.00 90.00 90.00
Space group Immm (No. 71)
Asymmetric unit:
1 Pa 0.000 0.000 0.152 x4
2 S 0.000 0.500 0.156 x4
3 O 0.000 0.500 0.500 x2

***

2.
BaCe2Bi2O7: theoretical powder diffractogram (a wavelength of 1.5418 Å), based on a crystal structure in Alexandria, relaxed with GGA-PBE.

Peak list (12 most intense, 15 to 90 degrees two-theta, most intense first)
2θ/deg  I (rel.)  index
26.63  100  0 5 1
29.48  78  1 2 1
23.42  72  1 3 0
50.56  36  2 5 1
32.96  35  1 7 0
36.53  27  0 10 0
39.44  25  0 0 2
53.45  25  1 12 1
52.32  24  1 7 2
46.38  24  1 3 2
42.16  23  2 0 0
21.03  21  1 1 0

Atomic structure:
a b c (Å): 4.287 24.596 4.569
angles (deg): 90.00 90.00 90.00
Space group Imm2 (No. 44)
Asymmetric unit:
1 Ba 0.000 0.000 0.000 x2
2 Ce 0.000 0.409 0.036 x4
3 Bi 0.000 0.301 0.539 x4
4 O 0.000 0.072 0.503 x4
5 O 0.000 0.319 0.037 x4
6 O 0.000 0.391 0.532 x4
7 O 0.000 0.500 0.172 x2

***

3.
Pu3NCl3: theoretical powder diffractogram (a wavelength of 1.5418 Å), based on a crystal structure in Alexandria, relaxed with GGA-PBE.

Peak list (12 most intense, 15 to 90 degrees two-theta, most intense first)
2θ/deg  I (rel.)  index
33.39  100  2 1 0
29.99  74  0 1 2
33.11  53  0 0 4
26.93  39  2 0 -2
47.12  34  2 1 -4
27.91  32  2 0 2
48.35  29  2 1 4
41.80  28  3 1 0
35.36  26  0 1 3
55.18  25  3 1 4
32.20  21  1 1 2
37.64  20  3 0 2

Atomic structure:
a b c (Å): 8.143 3.570 10.830
angles (deg): 90.00 92.10 90.00
Space group P2_1/m (No. 11)
Asymmetric unit:
1 Pu 0.092 0.250 0.387 x2
2 Pu 0.116 0.250 0.850 x2
3 Pu 0.320 0.750 0.616 x2
4 N 0.115 0.250 0.615 x2
5 Cl 0.148 0.250 0.119 x2
6 Cl 0.378 0.750 0.871 x2
7 Cl 0.382 0.750 0.361 x2

***

4.
CsHgH5: theoretical powder diffractogram (a wavelength of 1.5418 Å), based on a crystal structure in Alexandria, relaxed with GGA-PBE.

Peak list (12 most intense, 15 to 90 degrees two-theta, most intense first)
2θ/deg  I (rel.)  index
23.88  100  1 1 -1
26.02  98  0 2 1
17.28  98  1 1 0
27.78  96  1 3 0
30.36  57  1 1 1
36.41  41  2 2 -1
15.22  37  0 2 0
31.28  36  2 0 0
37.50  28  0 4 1
45.25  25  1 5 -1
53.55  23  3 3 0
45.43  22  2 2 1

Atomic structure:
a b c (Å): 5.926 11.644 4.389
angles (deg): 90.00 105.21 90.00
Space group C2 (No. 5)
Asymmetric unit:
1 Cs 0.000 0.000 0.000 x2
2 Hg 0.000 0.314 0.500 x2
3 H 0.000 0.164 0.500 x2
4 H 0.032 0.668 0.086 x4
5 H 0.212 0.393 0.371 x4

***

5.
Hf3TaFe: theoretical powder diffractogram (a wavelength of 1.5418 Å), based on a crystal structure in Alexandria, relaxed with GGA-PBE.

Peak list (10 most intense, 15 to 90 degrees two-theta, most intense first)
2θ/deg  I (rel.)  index
32.86  100  1 1 1
38.13  71  2 0 0
55.02  49  2 2 0
65.59  42  3 1 1
68.91  17  2 2 2
81.58  8  4 0 0
18.80  2  1 0 0
26.71  2  1 1 0
42.84  1  2 1 0
47.16  1  2 1 1

Atomic structure:
a b c (Å): 4.720 4.720 4.720
angles (deg): 90.00 90.00 90.00
Space group Pm-3m (No. 221)
Asymmetric unit:
1 Hf 0.000 0.000 0.500 x3
2 Ta 0.500 0.500 0.500 x1
3 Fe 0.000 0.000 0.000 x1

***

6.
Ba2Li5Hg3: theoretical powder diffractogram (a wavelength of 1.5418 Å), based on a crystal structure in Alexandria, relaxed with GGA-PBE.

Peak list (12 most intense, 15 to 90 degrees two-theta, most intense first)
2θ/deg  I (rel.)  index
26.95  100  1 5 1
21.52  52  1 1 1
30.22  46  1 3 2
37.00  40  2 0 0
22.48  35  0 6 1
23.46  32  1 3 1
29.46  31  0 6 2
28.71  27  1 1 2
25.42  26  0 4 2
35.06  24  1 9 0
53.54  24  1 11 3
33.49  23  0 2 3

Atomic structure:
a b c (Å): 4.857 27.107 8.188
angles (deg): 90.00 90.00 90.00
Space group Cmc2_1 (No. 36)
Asymmetric unit:
1 Ba 0.000 0.019 0.000 x4
2 Ba 0.000 0.342 0.531 x4
3 Li 0.000 0.119 0.665 x4
4 Li 0.000 0.210 0.417 x4
5 Li 0.000 0.232 0.780 x4
6 Li 0.000 0.353 0.999 x4
7 Li 0.000 0.444 0.829 x4
8 Hg 0.000 0.108 0.323 x4
9 Hg 0.000 0.259 0.112 x4
10 Hg 0.000 0.441 0.202 x4

***

7.
Ca2TcO4: theoretical powder diffractogram (a wavelength of 1.5418 Å), based on a crystal structure in Alexandria, relaxed with GGA-PBE.

Peak list (12 most intense, 15 to 90 degrees two-theta, most intense first)
2θ/deg  I (rel.)  index
31.97  100  1 1 3
45.86  53  0 0 6
23.71  45  1 1 1
32.47  38  2 0 0
31.53  35  0 2 0
57.62  26  3 1 3
44.46  23  1 1 5
66.85  15  2 2 6
56.43  13  1 3 3
57.26  13  2 0 6
51.66  13  1 3 1
56.66  13  0 2 6

Atomic structure:
a b c (Å): 5.514 5.675 11.887
angles (deg): 90.00 90.00 90.00
Space group Pbca (No. 61)
Asymmetric unit:
1 Ca 0.009 0.058 0.150 x8
2 Tc 0.000 0.000 0.500 x4
3 O 0.079 0.028 0.666 x8
4 O 0.198 0.201 0.968 x8

***

8.
Ac2InCu4Sn3: theoretical powder diffractogram (a wavelength of 1.5418 Å), based on a crystal structure in Alexandria, relaxed with GGA-PBE.

Peak list (12 most intense, 15 to 90 degrees two-theta, most intense first)
2θ/deg  I (rel.)  index
32.11  100  1 1 2
31.43  71  1 0 3
39.27  61  2 0 0
51.14  37  2 1 3
46.14  27  1 0 5
66.71  24  3 1 2
62.16  22  2 1 5
27.49  21  1 1 0
56.75  21  2 2 0
58.26  14  1 1 6
85.72  13  3 1 6
82.39  13  2 0 8

Atomic structure:
a b c (Å): 4.589 4.589 10.888
angles (deg): 90.00 90.00 90.00
Space group P-4m2 (No. 115)
Asymmetric unit:
1 Ac 0.000 0.500 0.238 x2
2 In 0.000 0.000 0.500 x1
3 Cu 0.000 0.000 0.000 x1
4 Cu 0.000 0.500 0.636 x2
5 Cu 0.500 0.500 0.000 x1
6 Sn 0.000 0.500 0.876 x2
7 Sn 0.500 0.500 0.500 x1

***

9.
SrCd2O3: theoretical powder diffractogram (a wavelength of 1.5418 Å), based on a crystal structure in Alexandria, relaxed with GGA-PBE.

Peak list (12 most intense, 15 to 90 degrees two-theta, most intense first)
2θ/deg  I (rel.)  index
33.06  100  1 1 1
34.62  98  1 1 -2
30.68  64  0 0 3
34.94  52  2 0 1
33.28  52  2 0 -2
53.66  47  3 1 -1
55.04  45  2 0 -5
40.92  38  1 1 -3
53.10  24  0 2 0
30.21  23  1 1 0
63.15  19  3 1 2
62.59  17  0 2 3

Atomic structure:
a b c (Å): 5.898 3.449 8.965
angles (deg): 90.00 102.80 90.00
Space group P2_1/m (No. 11)
Asymmetric unit:
1 Sr 0.033 0.250 0.323 x2
2 Cd 0.258 0.250 0.002 x2
3 Cd 0.471 0.250 0.667 x2
4 O 0.146 0.750 0.153 x2
5 O 0.263 0.750 0.503 x2
6 O 0.371 0.750 0.839 x2

***

10.
BaCdGaAg2: theoretical powder diffractogram (a wavelength of 1.5418 Å), based on a crystal structure in Alexandria, relaxed with GGA-PBE.

Peak list (12 most intense, 15 to 90 degrees two-theta, most intense first)
2θ/deg  I (rel.)  index
30.98  100  1 1 2
37.57  28  0 2 0
55.11  27  2 2 0
38.77  25  2 0 0
29.80  21  0 1 3
41.39  21  1 1 4
89.95  18  2 2 8
30.17  18  1 0 3
63.73  11  1 3 2
43.80  11  1 0 5
65.38  10  3 1 2
43.53  10  0 1 5

Atomic structure:
a b c (Å): 4.645 4.788 11.539
angles (deg): 90.00 90.00 90.00
Space group Imm2 (No. 44)
Asymmetric unit:
1 Ba 0.000 0.000 0.000 x2
2 Cd 0.000 0.500 0.746 x2
3 Ga 0.000 0.000 0.624 x2
4 Ag 0.000 0.000 0.392 x2
5 Ag 0.000 0.500 0.243 x2

***

11.
Ta4Nb3Mo4: theoretical powder diffractogram (a wavelength of 1.5418 Å), based on a crystal structure in Alexandria, relaxed with GGA-PBE.

Peak list (12 most intense, 15 to 90 degrees two-theta, most intense first)
2θ/deg  I (rel.)  index
38.61  100  1 0 4
39.59  63  0 1 6
39.70  31  0 2 1
71.23  22  1 1 10
56.60  22  1 2 5
69.23  11  2 1 3
56.37  11  1 0 -7
24.92  7  0 1 3
18.40  7  0 0 3
82.85  7  2 0 8
69.09  6  2 0 -3
71.04  5  1 2 -6

Atomic structure:
a b c (Å): 2.893 4.541 14.671
angles (deg): 81.20 86.38 89.91
Space group P-1 (No. 2)
Asymmetric unit:
1 Ta 0.204 0.273 0.454 x2
2 Ta 0.291 0.910 0.180 x2
3 Nb 0.000 0.000 0.000 x1
4 Nb 0.108 0.636 0.728 x2
5 Mo 0.361 0.545 0.910 x2
6 Mo 0.448 0.182 0.636 x2

***

12.
CaTiSb3: theoretical powder diffractogram (a wavelength of 1.5418 Å), based on a crystal structure in Alexandria, relaxed with GGA-PBE.

Peak list (12 most intense, 15 to 90 degrees two-theta, most intense first)
2θ/deg  I (rel.)  index
33.36  100  4 1 1
28.29  98  3 1 1
31.71  96  2 2 0
40.94  70  0 2 2
29.27  59  1 0 2
31.47  55  2 0 2
19.66  33  3 0 0
68.93  32  2 4 2
46.94  29  7 0 0
37.84  28  3 1 2
45.81  26  3 2 2
32.87  26  1 2 1

Atomic structure:
a b c (Å): 13.550 6.209 6.263
angles (deg): 90.00 90.00 90.00
Space group Pbcm (No. 57)
Asymmetric unit:
1 Ca 0.187 0.010 0.250 x4
2 Ti 0.410 0.750 0.000 x4
3 Sb 0.004 0.750 0.000 x4
4 Sb 0.281 0.001 0.750 x4
5 Sb 0.428 0.120 0.250 x4